Entry 1:
Starting from a PBE-relaxed structure, the PXRD pattern of Pu2Tl2Te5 was simulated for Cu Kα (λ = 1.5418 Å).
Kinematic intensities with the Lorentz-polarization factor, no thermal factor.

Crystal structure
```
Pu2Tl2Te5
1.0
8.536 -4.188 0.000
8.536 4.188 0.000
0.000 0.000 8.385
Pu Tl Te
4 4 10
direct
0.155 0.845 0.845
0.345 0.655 0.345
0.655 0.345 0.655
0.845 0.155 0.155
0.202 0.202 0.500
0.298 0.298 0.000
0.702 0.702 0.000
0.798 0.798 0.500
0.000 0.000 0.500
0.030 0.731 0.148
0.231 0.530 0.648
0.269 0.970 0.148
0.470 0.769 0.648
0.500 0.500 0.000
0.530 0.231 0.352
0.731 0.030 0.852
0.769 0.470 0.352
0.970 0.269 0.852
```

Main lines, most intense first (15 to 90 degrees two-theta):
2theta, d [Å], I (rel.)
34.24, 2.619, 100.0
31.78, 2.816, 66.5
30.19, 2.960, 65.6
28.51, 3.131, 58.4
35.56, 2.524, 41.9
23.65, 3.761, 37.9

***

Entry 2:
Starting from a PBE-relaxed structure, the PXRD pattern of PuTl3Te3 was simulated for Cu Kα (λ = 1.5418 Å).
Kinematic intensities with the Lorentz-polarization factor, no thermal factor.

Crystal structure
```
PuTl3Te3
1.0
9.461 0.000 0.000
0.000 4.569 0.000
-1.747 0.000 12.980
Pu Tl Te
2 6 6
direct
0.139 0.250 0.130
0.861 0.750 0.870
0.102 0.250 0.637
0.358 0.750 0.884
0.388 0.750 0.385
0.612 0.250 0.615
0.642 0.250 0.116
0.898 0.750 0.363
0.088 0.250 0.890
0.144 0.250 0.370
0.367 0.750 0.137
0.633 0.250 0.863
0.856 0.750 0.630
0.912 0.750 0.110
```

Main lines, most intense first (15 to 90 degrees two-theta):
2theta, d [Å], I (rel.)
27.26, 3.272, 100.0
27.49, 3.245, 54.5
37.16, 2.419, 39.5
40.95, 2.204, 34.6
48.75, 1.868, 21.0
23.82, 3.736, 20.8

***

Entry 3:
Starting from a PBE-relaxed structure, the PXRD pattern of Y3PuTl4Te8 was simulated for Cu Kα (λ = 1.5418 Å).
Kinematic intensities with the Lorentz-polarization factor, no thermal factor.

Crystal structure
```
Y3PuTl4Te8
1.0
4.469 2.580 8.157
-4.469 2.580 8.157
0.000 -5.161 8.157
Y Pu Tl Te
3 1 4 8
direct
0.000 0.500 0.500
0.500 0.000 0.500
0.500 0.500 0.000
0.000 0.000 0.000
0.000 0.000 0.500
0.000 0.500 0.000
0.500 0.000 0.000
0.500 0.500 0.500
0.240 0.240 0.735
0.240 0.735 0.240
0.262 0.262 0.262
0.265 0.760 0.760
0.735 0.240 0.240
0.738 0.738 0.738
0.760 0.265 0.760
0.760 0.760 0.265
```

Main lines, most intense first (15 to 90 degrees two-theta):
2theta, d [Å], I (rel.)
27.26, 3.271, 100.0
37.47, 2.400, 38.4
40.36, 2.235, 36.5
65.62, 1.423, 21.3
49.39, 1.845, 19.6
61.56, 1.506, 14.8

***

Entry 4:
Starting from a PBE-relaxed structure, the PXRD pattern of Tm3Pu5Te8 was simulated for Cu Kα (λ = 1.5418 Å).
Kinematic intensities with the Lorentz-polarization factor, no thermal factor.

Crystal structure
```
Tm3Pu5Te8
1.0
4.353 2.513 7.252
-4.353 2.513 7.252
0.000 -5.026 7.252
Tm Pu Te
3 5 8
direct
0.000 0.500 0.500
0.500 0.000 0.500
0.500 0.500 0.000
0.000 0.000 0.000
0.000 0.000 0.500
0.000 0.500 0.000
0.500 0.000 0.000
0.500 0.500 0.500
0.250 0.250 0.743
0.250 0.743 0.250
0.253 0.253 0.253
0.257 0.750 0.750
0.743 0.250 0.250
0.747 0.747 0.747
0.750 0.257 0.750
0.750 0.750 0.257
```

Main lines, most intense first (15 to 90 degrees two-theta):
2theta, d [Å], I (rel.)
28.82, 3.098, 100.0
40.92, 2.205, 39.1
41.49, 2.176, 37.8
51.30, 1.781, 20.5
67.21, 1.393, 18.1
68.02, 1.378, 17.6

***

Entry 5:
Starting from a PBE-relaxed structure, the PXRD pattern of Tm3Pu4Te8 was simulated for Cu Kα (λ = 1.5418 Å).
Kinematic intensities with the Lorentz-polarization factor, no thermal factor.

Crystal structure
```
Tm3Pu4Te8
1.0
6.151 -6.165 0.000
6.151 6.165 0.000
-6.141 0.000 6.177
Tm Pu Te
3 4 8
direct
0.000 0.000 0.000
0.000 0.500 0.500
0.500 0.000 0.500
0.000 0.000 0.500
0.000 0.500 0.000
0.500 0.000 0.000
0.500 0.500 0.000
0.247 0.753 0.000
0.252 0.252 0.010
0.254 0.254 0.492
0.256 0.744 0.500
0.744 0.256 0.500
0.746 0.746 0.508
0.748 0.748 0.990
0.753 0.247 0.000
```

Main lines, most intense first (15 to 90 degrees two-theta):
2theta, d [Å], I (rel.)
41.43, 2.180, 100.0
28.94, 3.086, 87.5
29.03, 3.076, 43.3
51.34, 1.780, 35.8
68.01, 1.378, 23.1
75.58, 1.258, 17.1

***

Entry 6:
Starting from a PBE-relaxed structure, the PXRD pattern of Pu2UTe5 was simulated for Cu Kα (λ = 1.5418 Å).
Kinematic intensities with the Lorentz-polarization factor, no thermal factor.

Crystal structure
```
Pu2UTe5
1.0
8.583 0.000 0.000
0.000 13.178 0.000
0.000 0.000 4.418
Pu U Te
4 2 10
direct
0.045 0.176 0.000
0.455 0.676 0.000
0.545 0.324 0.000
0.955 0.824 0.000
0.000 0.500 0.500
0.500 0.000 0.500
0.000 0.000 0.500
0.169 0.702 0.500
0.185 0.405 0.000
0.315 0.905 0.000
0.331 0.202 0.500
0.500 0.500 0.500
0.669 0.798 0.500
0.685 0.095 0.000
0.815 0.595 0.000
0.831 0.298 0.500
```

Main lines, most intense first (15 to 90 degrees two-theta):
2theta, d [Å], I (rel.)
32.09, 2.790, 100.0
29.80, 2.998, 54.3
33.94, 2.641, 40.4
40.85, 2.209, 36.5
41.25, 2.189, 34.4
22.74, 3.910, 34.1